The following is a computed powder diffractogram of PaCl5. It was derived from DFT lattice parameters and positions (GGA-PBE), using Cu Ka.
No peak broadening, texture or thermal motion is included.

Largest 10 diffraction maxima, most intense first, 2θ from 10° to 90°:
2theta, d_spacing, I/Imax
13.46, 6.581, 100
18.89, 4.698, 93
19.07, 4.653, 41
43.44, 2.083, 40
30.37, 2.943, 39
38.65, 2.330, 29
45.39, 1.998, 25
26.97, 3.306, 21
33.24, 2.695, 20
35.70, 2.515, 19

Structure:
Cell lengths 7.121, 7.121, 7.121 Å; angles 98.40, 98.40, 135.06 degrees
Fractional positions:
Pa1 0.000 0.000 0.000
Cl1 0.063 0.739 0.802
Cl2 0.261 0.063 0.324
Cl3 0.500 0.500 0.000
Cl4 0.739 0.937 0.676
Cl5 0.937 0.261 0.198

---

The following is a computed powder diffractogram of TbY5Er8. It was derived from DFT lattice parameters and positions (GGA-PBE), using Cu Ka.
No peak broadening, texture or thermal motion is included.

Largest 10 diffraction maxima, most intense first, 2θ from 10° to 90°:
2theta, d_spacing, I/Imax
34.09, 2.630, 100
29.69, 3.009, 83
28.28, 3.156, 81
29.53, 3.025, 77
34.76, 2.581, 72
35.16, 2.553, 71
22.69, 3.918, 39
56.72, 1.623, 26
32.03, 2.794, 25
47.16, 1.927, 22

Structure:
Cell lengths 8.394, 8.394, 8.394 Å; angles 110.94, 110.94, 106.58 degrees
Fractional positions:
Tb1 0.000 0.000 0.000
Y1 0.038 0.441 0.824
Y2 0.250 0.750 0.500
Y3 0.559 0.383 0.597
Y4 0.617 0.214 0.176
Y5 0.786 0.962 0.403
Er1 0.093 0.329 0.418
Er2 0.275 0.171 0.756
Er3 0.326 0.907 0.236
Er4 0.415 0.519 0.244
Er5 0.481 0.725 0.896
Er6 0.671 0.089 0.764
Er7 0.829 0.585 0.104
Er8 0.911 0.674 0.582

---

The following is a computed powder diffractogram of Tb4Pr2In. It was derived from DFT lattice parameters and positions (GGA-PBE), using Cu Ka.
No peak broadening, texture or thermal motion is included.

Largest 10 diffraction maxima, most intense first, 2θ from 10° to 90°:
2theta, d_spacing, I/Imax
32.49, 2.756, 100
31.64, 2.827, 68
35.00, 2.564, 68
29.41, 3.037, 65
31.91, 2.804, 65
31.83, 2.812, 59
28.48, 3.134, 52
36.11, 2.487, 49
28.24, 3.161, 42
30.71, 2.912, 42

Structure:
Cell lengths 6.328, 10.820, 6.559 Å; angles 90.00, 90.07, 90.00 degrees
Fractional positions:
Tb1 0.069 0.154 0.499
Tb2 0.069 0.346 0.999
Tb3 0.396 0.750 0.250
Tb4 0.396 0.750 0.750
Tb5 0.604 0.250 0.250
Tb6 0.604 0.250 0.750
Tb7 0.931 0.654 0.001
Tb8 0.931 0.846 0.501
Pr1 0.244 0.044 0.999
Pr2 0.244 0.456 0.499
Pr3 0.756 0.544 0.501
Pr4 0.756 0.956 0.001
In1 0.500 0.000 0.500
In2 0.500 0.500 0.000

---

The following is a computed powder diffractogram of Dy2Ho13. It was derived from DFT lattice parameters and positions (GGA-PBE), using Cu Ka.
No peak broadening, texture or thermal motion is included.

Largest 10 diffraction maxima, most intense first, 2θ from 10° to 90°:
2theta, d_spacing, I/Imax
32.30, 2.772, 100
32.39, 2.764, 26
30.58, 2.923, 20
62.90, 1.477, 19
45.13, 2.009, 10
47.48, 1.915, 10
57.68, 1.598, 10
57.75, 1.596, 10
58.63, 1.574, 8
37.85, 2.377, 8

Structure:
Cell lengths 6.545, 8.653, 8.898 Å; angles 69.16, 83.95, 80.73 degrees
Fractional positions:
Dy1 0.199 0.304 0.398
Dy2 0.801 0.696 0.602
Ho1 0.000 0.500 0.000
Ho2 0.096 0.925 0.692
Ho3 0.134 0.696 0.267
Ho4 0.238 0.076 0.975
Ho5 0.334 0.500 0.667
Ho6 0.429 0.923 0.359
Ho7 0.467 0.697 0.934
Ho8 0.533 0.303 0.066
Ho9 0.571 0.077 0.641
Ho10 0.666 0.500 0.333
Ho11 0.762 0.924 0.025
Ho12 0.866 0.304 0.733
Ho13 0.904 0.075 0.308